Entry 1:
# RbAg3Te3
Simulated powder X-ray diffraction pattern, CuKα. Input: the GGA-PBE geometry in Alexandria.

Principal peaks in the range 15° ≤ 2θ ≤ 90°, low angle first:
two_theta, intensity
23.2, 40
25.1, 91
30.0, 30
37.0, 100
40.7, 80
45.2, 44
56.2, 29
71.7, 27

Structural model:
a b c (Å): 10.404 10.404 10.404
angles (deg): 43.30 43.30 43.30
Fractional coordinates of all 14 atoms:
Rb (0.167, 0.167, 0.167)
Rb (0.833, 0.833, 0.833)
Ag (0.023, 0.364, 0.702)
Ag (0.298, 0.977, 0.636)
Ag (0.364, 0.702, 0.023)
Ag (0.636, 0.298, 0.977)
Ag (0.702, 0.023, 0.364)
Ag (0.977, 0.636, 0.298)
Te (0.078, 0.733, 0.405)
Te (0.267, 0.595, 0.922)
Te (0.405, 0.078, 0.733)
Te (0.595, 0.922, 0.267)
Te (0.733, 0.405, 0.078)
Te (0.922, 0.267, 0.595)

Entry 2:
# Te2MoWN
Simulated powder X-ray diffraction pattern, CuKα. Input: the GGA-PBE geometry in Alexandria.

Principal peaks in the range 15° ≤ 2θ ≤ 90°, low angle first:
two_theta, intensity
23.4, 40
28.7, 69
32.9, 100
40.8, 38
44.2, 43
47.3, 36
59.4, 36
69.6, 22

Structural model:
a b c (Å): 5.440 5.440 3.794
angles (deg): 90.00 90.00 90.00
Fractional coordinates of all 5 atoms:
Te (0.000, 0.500, 0.000)
Te (0.500, 0.000, 0.000)
Mo (0.000, 0.000, 0.500)
W (0.500, 0.500, 0.000)
N (0.500, 0.500, 0.500)

Entry 3:
# CdFePd5
Simulated powder X-ray diffraction pattern, CuKα. Input: the GGA-PBE geometry in Alexandria.

Principal peaks in the range 15° ≤ 2θ ≤ 90°, low angle first:
two_theta, intensity
33.4, 28
39.7, 12
40.7, 100
43.9, 46
60.7, 14
63.8, 15
71.9, 11
78.5, 28

Structural model:
a b c (Å): 4.127 4.127 6.807
angles (deg): 90.00 90.00 90.00
Fractional coordinates of all 7 atoms:
Cd (0.000, 0.000, 0.000)
Fe (0.500, 0.500, 0.500)
Pd (0.000, 0.500, 0.288)
Pd (0.000, 0.500, 0.712)
Pd (0.500, 0.000, 0.288)
Pd (0.500, 0.000, 0.712)
Pd (0.500, 0.500, 0.000)

Entry 4:
# Na4TaAl3P6O24
Simulated powder X-ray diffraction pattern, CuKα. Input: the GGA-PBE geometry in Alexandria.

Principal peaks in the range 15° ≤ 2θ ≤ 90°, low angle first:
two_theta, intensity
20.3, 50
20.7, 48
24.1, 100
29.1, 34
32.2, 30
32.4, 68
36.3, 29
49.4, 24

Structural model:
a b c (Å): 8.571 8.572 8.764
angles (deg): 60.84 60.80 60.01
Fractional coordinates of all 38 atoms:
Na (0.000, 0.000, 0.000)
Na (0.145, 0.734, 0.730)
Na (0.580, 0.267, 0.225)
Na (0.735, 0.633, 0.994)
Ta (0.478, 0.111, 0.661)
Al (0.269, 0.894, 0.304)
Al (0.769, 0.398, 0.789)
Al (0.978, 0.597, 0.181)
P (0.081, 0.290, 0.994)
P (0.145, 0.208, 0.491)
P (0.372, 0.704, 0.992)
P (0.589, 0.513, 0.475)
P (0.655, 0.005, 0.997)
P (0.886, 0.775, 0.484)
O (0.057, 0.806, 0.464)
O (0.058, 0.473, 0.008)
O (0.113, 0.384, 0.325)
O (0.122, 0.106, 0.153)
O (0.175, 0.026, 0.473)
O (0.193, 0.684, 0.013)
O (0.249, 0.264, 0.811)
O (0.339, 0.182, 0.500)
O (0.360, 0.736, 0.156)
O (0.391, 0.887, 0.819)
O (0.402, 0.680, 0.468)
O (0.485, 0.972, 0.167)
O (0.551, 0.532, 0.957)
O (0.559, 0.334, 0.495)
O (0.620, 0.032, 0.824)
O (0.631, 0.466, 0.645)
O (0.687, 0.180, 0.969)
O (0.706, 0.962, 0.507)
O (0.753, 0.542, 0.294)
O (0.844, 0.831, 0.002)
O (0.847, 0.610, 0.662)
O (0.896, 0.319, 0.975)
O (0.903, 0.758, 0.309)
O (0.991, 0.228, 0.676)

Entry 5:
# Gd2CuTe2S2O14
Simulated powder X-ray diffraction pattern, CuKα. Input: the GGA-PBE geometry in Alexandria.

Principal peaks in the range 15° ≤ 2θ ≤ 90°, low angle first:
two_theta, intensity
22.2, 47
24.2, 66
24.5, 70
25.3, 100
26.9, 44
29.7, 73
34.3, 42
38.3, 39

Structural model:
a b c (Å): 5.246 8.019 8.296
angles (deg): 61.51 74.67 85.44
Fractional coordinates of all 21 atoms:
Gd (0.066, 0.251, 0.019)
Gd (0.934, 0.749, 0.981)
Cu (0.000, 0.000, 0.500)
Te (0.492, 0.732, 0.650)
Te (0.508, 0.268, 0.350)
S (0.262, 0.744, 0.252)
S (0.738, 0.256, 0.748)
O (0.154, 0.738, 0.437)
O (0.157, 0.582, 0.242)
O (0.176, 0.917, 0.098)
O (0.255, 0.562, 0.885)
O (0.256, 0.932, 0.653)
O (0.268, 0.185, 0.260)
O (0.445, 0.258, 0.788)
O (0.555, 0.742, 0.212)
O (0.732, 0.815, 0.740)
O (0.744, 0.068, 0.347)
O (0.745, 0.438, 0.115)
O (0.824, 0.083, 0.902)
O (0.843, 0.418, 0.758)
O (0.846, 0.262, 0.563)

Entry 6:
# K2PaAu2O6
Simulated powder X-ray diffraction pattern, CuKα. Input: the GGA-PBE geometry in Alexandria.

Principal peaks in the range 15° ≤ 2θ ≤ 90°, low angle first:
two_theta, intensity
19.1, 100
27.4, 97
28.9, 95
30.7, 41
31.1, 37
35.9, 19
44.3, 30
48.3, 24

Structural model:
a b c (Å): 6.641 6.641 7.860
angles (deg): 124.65 124.65 51.28
Fractional coordinates of all 11 atoms:
K (0.226, 0.226, 0.116)
K (0.774, 0.774, 0.884)
Pa (0.000, 0.000, 0.500)
Au (0.398, 0.398, 0.726)
Au (0.602, 0.602, 0.274)
O (0.240, 0.240, 0.742)
O (0.242, 0.719, 0.291)
O (0.281, 0.758, 0.709)
O (0.719, 0.242, 0.291)
O (0.758, 0.281, 0.709)
O (0.760, 0.760, 0.258)

Entry 7:
# Nd2MgAl3
Simulated powder X-ray diffraction pattern, CuKα. Input: the GGA-PBE geometry in Alexandria.

Principal peaks in the range 15° ≤ 2θ ≤ 90°, low angle first:
two_theta, intensity
21.7, 65
32.5, 100
37.9, 15
38.0, 29
50.8, 19
54.2, 11
63.7, 19
65.3, 18

Structural model:
a b c (Å): 9.464 8.991 6.028
angles (deg): 75.25 66.73 38.02
Fractional coordinates of all 12 atoms:
Nd (0.249, 0.751, 0.751)
Nd (0.250, 0.250, 0.250)
Nd (0.750, 0.750, 0.750)
Nd (0.751, 0.249, 0.249)
Mg (0.167, 0.167, 0.833)
Mg (0.833, 0.833, 0.167)
Al (0.175, 0.662, 0.338)
Al (0.337, 0.337, 0.663)
Al (0.338, 0.825, 0.175)
Al (0.662, 0.175, 0.825)
Al (0.663, 0.663, 0.337)
Al (0.825, 0.338, 0.662)

Entry 8:
# LiCd4Hg9
Simulated powder X-ray diffraction pattern, CuKα. Input: the GGA-PBE geometry in Alexandria.

Principal peaks in the range 15° ≤ 2θ ≤ 90°, low angle first:
two_theta, intensity
31.7, 88
32.9, 32
33.9, 48
36.4, 100
36.6, 71
36.7, 72
40.9, 20
58.3, 31

Structural model:
a b c (Å): 8.297 8.331 11.282
angles (deg): 89.79 89.91 60.63
Fractional coordinates of all 28 atoms:
Li (0.163, 0.167, 0.248)
Li (0.837, 0.833, 0.752)
Cd (0.270, 0.559, 0.751)
Cd (0.312, 0.715, 0.249)
Cd (0.402, 0.121, 0.751)
Cd (0.500, 0.500, 0.000)
Cd (0.500, 0.500, 0.500)
Cd (0.598, 0.879, 0.249)
Cd (0.688, 0.285, 0.751)
Cd (0.730, 0.441, 0.249)
Hg (0.015, 0.576, 0.251)
Hg (0.075, 0.769, 0.521)
Hg (0.075, 0.774, 0.980)
Hg (0.098, 0.000, 0.748)
Hg (0.226, 0.346, 0.006)
Hg (0.231, 0.341, 0.494)
Hg (0.343, 0.927, 0.470)
Hg (0.346, 0.928, 0.026)
Hg (0.452, 0.289, 0.250)
Hg (0.548, 0.711, 0.750)
Hg (0.654, 0.072, 0.974)
Hg (0.657, 0.073, 0.530)
Hg (0.769, 0.659, 0.506)
Hg (0.774, 0.654, 0.994)
Hg (0.902, 0.000, 0.252)
Hg (0.925, 0.226, 0.020)
Hg (0.925, 0.231, 0.479)
Hg (0.985, 0.424, 0.749)

Entry 9:
# LaDy12Th2
Simulated powder X-ray diffraction pattern, CuKα. Input: the GGA-PBE geometry in Alexandria.

Principal peaks in the range 15° ≤ 2θ ≤ 90°, low angle first:
two_theta, intensity
29.6, 68
30.9, 100
31.7, 93
32.8, 67
33.3, 95
37.1, 34
47.7, 33
58.4, 35

Structural model:
a b c (Å): 6.641 6.641 24.987
angles (deg): 90.00 90.00 116.20
Fractional coordinates of all 30 atoms:
La (0.250, 0.750, 0.999)
La (0.750, 0.250, 0.001)
Dy (0.002, 0.502, 0.868)
Dy (0.002, 0.998, 0.082)
Dy (0.013, 0.513, 0.411)
Dy (0.018, 0.982, 0.561)
Dy (0.250, 0.250, 0.203)
Dy (0.250, 0.250, 0.328)
Dy (0.250, 0.250, 0.672)
Dy (0.250, 0.250, 0.797)
Dy (0.482, 0.518, 0.561)
Dy (0.487, 0.987, 0.411)
Dy (0.498, 0.502, 0.082)
Dy (0.498, 0.998, 0.868)
Dy (0.502, 0.002, 0.132)
Dy (0.502, 0.498, 0.918)
Dy (0.513, 0.013, 0.589)
Dy (0.518, 0.482, 0.439)
Dy (0.750, 0.750, 0.203)
Dy (0.750, 0.750, 0.328)
Dy (0.750, 0.750, 0.672)
Dy (0.750, 0.750, 0.797)
Dy (0.982, 0.018, 0.439)
Dy (0.987, 0.487, 0.589)
Dy (0.998, 0.002, 0.918)
Dy (0.998, 0.498, 0.132)
Th (0.250, 0.750, 0.267)
Th (0.250, 0.750, 0.728)
Th (0.750, 0.250, 0.272)
Th (0.750, 0.250, 0.733)